The following is a computed X-ray powder pattern of Nb14CrOs. It was derived from a DFT-relaxed cell (PBE, Alexandria), using λ = 1.5418 Å (Cu Kα).
Lines closer than 0.1° are merged.

Cell and atoms:
```
Nb14CrOs
1.0
6.530 0.000 0.000
0.000 6.530 0.000
0.000 0.000 6.579
Nb Cr Os
14 1 1
Direct
0.000 0.000 0.000
0.000 0.500 0.000
0.000 0.500 0.500
0.249 0.249 0.257
0.249 0.249 0.743
0.249 0.751 0.257
0.249 0.751 0.743
0.500 0.000 0.000
0.500 0.000 0.500
0.500 0.500 0.000
0.751 0.249 0.257
0.751 0.249 0.743
0.751 0.751 0.257
0.751 0.751 0.743
0.000 0.000 0.500
0.500 0.500 0.500
```

The 12 most intense peaks (2θ = 15–90°), sorted by position:
h k l, 2θ (°), intensity
1 0 1, 19.15, 4
1 0 2, 30.43, 1
2 1 0, 30.61, 1
2 1 1, 33.57, 2
2 0 2, 38.86, 100
2 2 0, 39.01, 50
0 0 4, 55.90, 8
4 0 0, 56.36, 17
2 2 4, 70.27, 17
4 2 2, 70.57, 33
4 0 4, 83.42, 10
4 4 0, 83.80, 5